Record 1
Simulated XRD peak list
Compound: MnBe4Ni3
Radiation: Cu Kα (λ = 1.5418 Å)
Structure: a crystal structure in Alexandria, relaxed with PBE
Lines closer than 0.1° are merged.

Top 10 peaks for 10° ≤ 2θ ≤ 90°, sorted by position:
d 5.280, 2θ 16.79, rel. 1
d 2.640, 2θ 33.96, rel. 51
d 2.630, 2θ 34.10, rel. 100
d 1.863, 2θ 48.88, rel. 100
d 1.859, 2θ 48.99, rel. 50
d 1.520, 2θ 60.94, rel. 33
d 1.320, 2θ 71.46, rel. 7
d 1.315, 2θ 71.80, rel. 15
d 1.180, 2θ 81.60, rel. 13
d 1.176, 2θ 81.88, rel. 26

```
data_MnBe4Ni3
_symmetry_space_group_name_H-M 'P 1'
_symmetry_Int_Tables_number 1
_cell_length_a 3.719
_cell_length_b 3.719
_cell_length_c 5.280
_cell_angle_alpha 90.00
_cell_angle_beta 90.00
_cell_angle_gamma 90.00
loop_
_symmetry_equiv_pos_as_xyz
'x,y,z'
loop_
_atom_site_label
_atom_site_fract_x
_atom_site_fract_y
_atom_site_fract_z
Mn1 0.000 0.000 0.000
Be1 0.000 0.500 0.258
Be2 0.000 0.500 0.742
Be3 0.500 0.000 0.258
Be4 0.500 0.000 0.742
Ni1 0.000 0.000 0.500
Ni2 0.500 0.500 0.000
Ni3 0.500 0.500 0.500
```

=====

Record 2
Simulated XRD peak list
Compound: MnBe2Os
Radiation: Cu Kα (λ = 1.5418 Å)
Structure: a crystal structure in Alexandria, relaxed with PBE
Lines closer than 0.1° are merged.

Top 10 peaks for 10° ≤ 2θ ≤ 90°, sorted by position:
d 4.270, 2θ 20.80, rel. 63
d 3.230, 2θ 27.62, rel. 28
d 2.859, 2θ 31.28, rel. 70
d 2.576, 2θ 34.83, rel. 94
d 2.141, 2θ 42.21, rel. 100
d 2.135, 2θ 42.34, rel. 25
d 2.076, 2θ 43.60, rel. 55
d 1.746, 2θ 52.39, rel. 28
d 1.352, 2θ 69.55, rel. 26
d 1.275, 2θ 74.43, rel. 22

```
data_MnBe2Os
_symmetry_space_group_name_H-M 'P 1'
_symmetry_Int_Tables_number 1
_cell_length_a 3.230
_cell_length_b 4.531
_cell_length_c 4.531
_cell_angle_alpha 39.13
_cell_angle_beta 90.00
_cell_angle_gamma 90.00
loop_
_symmetry_equiv_pos_as_xyz
'x,y,z'
loop_
_atom_site_label
_atom_site_fract_x
_atom_site_fract_y
_atom_site_fract_z
Mn1 0.000 0.000 0.000
Be1 0.000 0.278 0.278
Be2 0.500 0.424 0.424
Os1 0.500 0.702 0.702
```

=====

Record 3
Simulated XRD peak list
Compound: Mn2BeOs
Radiation: Cu Kα (λ = 1.5418 Å)
Structure: a crystal structure in Alexandria, relaxed with PBE
Lines closer than 0.1° are merged.

Top 10 peaks for 10° ≤ 2θ ≤ 90°, sorted by position:
d 3.453, 2θ 25.80, rel. 76
d 2.665, 2θ 33.63, rel. 45
d 2.204, 2θ 40.95, rel. 30
d 2.024, 2θ 44.77, rel. 26
d 1.980, 2θ 45.84, rel. 100
d 1.909, 2θ 47.64, rel. 22
d 1.552, 2θ 59.57, rel. 18
d 1.389, 2θ 67.43, rel. 15
d 1.160, 2θ 83.31, rel. 17
d 1.115, 2θ 87.46, rel. 15

```
data_Mn2BeOs
_symmetry_space_group_name_H-M 'P 1'
_symmetry_Int_Tables_number 1
_cell_length_a 4.693
_cell_length_b 4.693
_cell_length_c 4.693
_cell_angle_alpha 145.01
_cell_angle_beta 132.00
_cell_angle_gamma 60.77
loop_
_symmetry_equiv_pos_as_xyz
'x,y,z'
loop_
_atom_site_label
_atom_site_fract_x
_atom_site_fract_y
_atom_site_fract_z
Mn1 0.241 0.241 0.000
Mn2 0.759 0.759 0.000
Be1 0.000 0.500 0.500
Os1 0.500 0.000 0.500
```

=====

Record 4
Simulated XRD peak list
Compound: MnBeOsW2
Radiation: Cu Kα (λ = 1.5418 Å)
Structure: a crystal structure in Alexandria, relaxed with PBE
Lines closer than 0.1° are merged.

Top 10 peaks for 10° ≤ 2θ ≤ 90°, sorted by position:
d 4.422, 2θ 20.08, rel. 67
d 3.127, 2θ 28.55, rel. 15
d 2.553, 2θ 35.15, rel. 100
d 2.211, 2θ 40.81, rel. 75
d 1.978, 2θ 45.89, rel. 31
d 1.563, 2θ 59.09, rel. 51
d 1.474, 2θ 63.07, rel. 15
d 1.333, 2θ 70.65, rel. 41
d 1.277, 2θ 74.30, rel. 17
d 1.106, 2θ 88.43, rel. 9

```
data_MnBeOsW2
_symmetry_space_group_name_H-M 'P 1'
_symmetry_Int_Tables_number 1
_cell_length_a 4.422
_cell_length_b 4.422
_cell_length_c 4.423
_cell_angle_alpha 90.00
_cell_angle_beta 90.00
_cell_angle_gamma 90.00
loop_
_symmetry_equiv_pos_as_xyz
'x,y,z'
loop_
_atom_site_label
_atom_site_fract_x
_atom_site_fract_y
_atom_site_fract_z
Mn1 0.000 0.000 0.000
Be1 0.500 0.500 0.500
Os1 0.000 0.000 0.500
W1 0.000 0.500 0.000
W2 0.500 0.000 0.000
```